No. 1
Structure and computed powder diffractogram of Li4Fe2Ni3Sn3O16 (a GGA+U-relaxed structure; Cu Kα).
No peak broadening, texture or thermal motion is included.

Crystal structure
Cell: 6.0212 6.0229 9.6160 Å, 88.51 88.86 60.64°
Space group P1 (No. 1)
Symmetry-distinct sites (fractional):
Li (0.0000, 0.0000, 0.0000) x1
Li (0.0067, 0.0077, 0.5101) x1
Li (0.3128, 0.3045, 0.6185) x1
Li (0.6497, 0.6448, 0.1046) x1
Fe (0.3127, 0.3219, 0.0061) x1
Fe (0.6459, 0.6403, 0.5143) x1
Ni (0.1536, 0.1537, 0.2843) x1
Ni (0.3252, 0.8107, 0.7872) x1
Ni (0.8154, 0.3257, 0.7887) x1
Sn (0.1533, 0.6439, 0.2912) x1
Sn (0.6447, 0.1514, 0.2901) x1
Sn (0.8137, 0.8184, 0.7888) x1
O (0.0204, 0.4573, 0.1617) x1
O (0.1411, 0.1687, 0.8945) x1
O (0.1551, 0.6675, 0.9033) x1
O (0.3160, 0.8240, 0.4035) x1
O (0.3179, 0.3142, 0.4102) x1
O (0.4541, 0.0212, 0.1602) x1
O (0.4660, 0.4671, 0.1551) x1
O (0.4906, 0.9380, 0.6642) x1
O (0.5179, 0.4851, 0.6706) x1
O (0.6552, 0.6262, 0.8956) x1
O (0.6644, 0.1563, 0.9049) x1
O (0.8236, 0.8212, 0.4189) x1
O (0.8296, 0.3136, 0.4005) x1
O (0.9431, 0.4903, 0.6651) x1
O (0.9818, 0.0116, 0.6949) x1
O (0.9826, 0.9824, 0.1846) x1

Most intense lines, 2θ = 10–90°, most intense first:
2θ = 18.5°, I 100, (0 0 2)
2θ = 35.6°, I 51, (2 2 1)
2θ = 19.2°, I 39, (1 0 1)
2θ = 19.4°, I 36, (1 0 -1)
2θ = 61.6°, I 28, (4 2 0)
2θ = 44.3°, I 26, (2 2 3)
2θ = 19.6°, I 25, (1 1 -1)
2θ = 59.0°, I 18, (0 2 5)

No. 2
Structure and computed powder diffractogram of Li4Ti3Fe2Ni3O16 (a GGA+U-relaxed structure; Cu Kα).
No peak broadening, texture or thermal motion is included.

Crystal structure
Cell: 10.2281 5.7886 9.5477 Å, 90.00 93.08 90.00°
Space group Cm (No. 8)
Symmetry-distinct sites (fractional):
Li (0.0000, 0.0000, 0.0000) x2
Li (0.0089, 0.0000, 0.5040) x2
Li (0.1521, 0.5000, 0.0967) x2
Li (0.3234, 0.0000, 0.5998) x2
Ti (0.3248, 0.5000, 0.7856) x2
Ti (0.4031, 0.2487, 0.2782) x4
Fe (0.1583, 0.5000, 0.5121) x2
Fe (0.3231, 0.0000, 0.0008) x2
Ni (0.0757, 0.2530, 0.7816) x4
Ni (0.1654, 0.0000, 0.2875) x2
O (0.0086, 0.5000, 0.6644) x2
O (0.0761, 0.2566, 0.4012) x4
O (0.1501, 0.0000, 0.8923) x2
O (0.1557, 0.5000, 0.8835) x2
O (0.2345, 0.2843, 0.6465) x4
O (0.2559, 0.2298, 0.1547) x4
O (0.3347, 0.0000, 0.3922) x2
O (0.3358, 0.5000, 0.3924) x2
O (0.3986, 0.2586, 0.8972) x4
O (0.4732, 0.0000, 0.1605) x2
O (0.4910, 0.5000, 0.6884) x2
O (0.4970, 0.5000, 0.1896) x2

Most intense lines, 2θ = 10–90°, most intense first:
2θ = 18.6°, I 100, (0 0 2)
2θ = 20.2°, I 96, (2 0 1)
2θ = 36.7°, I 57, (2 2 -1)
2θ = 19.7°, I 53, (1 1 -1)
2θ = 35.2°, I 47, (3 1 -2)
2θ = 63.4°, I 46, (6 2 0)
2θ = 45.4°, I 35, (2 2 -3)
2θ = 46.6°, I 33, (2 2 3)

No. 3
Structure and computed powder diffractogram of Li4Fe3Ni3W2O16 (a GGA+U-relaxed structure; Cu Kα).
No peak broadening, texture or thermal motion is included.

Crystal structure
Cell: 10.3106 5.9342 9.7064 Å, 90.00 90.21 90.00°
Space group Cm (No. 8)
Symmetry-distinct sites (fractional):
Li (0.0000, 0.0000, 0.0000) x2
Li (0.0005, 0.0000, 0.5034) x2
Li (0.1674, 0.5000, 0.4221) x2
Li (0.3347, 0.0000, 0.9203) x2
Fe (0.3278, 0.5000, 0.7319) x2
Fe (0.4115, 0.2455, 0.2309) x4
Ni (0.0853, 0.2546, 0.7269) x4
Ni (0.1702, 0.0000, 0.2253) x2
W (0.1617, 0.5000, 0.9989) x2
W (0.3296, 0.0000, 0.5022) x2
O (0.0208, 0.5000, 0.8661) x2
O (0.0864, 0.2586, 0.1005) x4
O (0.1708, 0.5000, 0.6259) x2
O (0.1720, 0.0000, 0.6013) x2
O (0.2442, 0.2810, 0.8646) x4
O (0.2619, 0.2224, 0.3658) x4
O (0.3279, 0.5000, 0.1039) x2
O (0.3402, 0.0000, 0.1238) x2
O (0.4122, 0.2420, 0.6020) x4
O (0.4805, 0.0000, 0.3634) x2
O (0.4971, 0.5000, 0.3148) x2
O (0.4967, 0.5000, 0.8126) x2

Most intense lines, 2θ = 10–90°, most intense first:
2θ = 19.5°, I 100, (2 0 -1)
2θ = 35.5°, I 30, (0 2 2)
2θ = 25.2°, I 29, (1 1 2)
2θ = 32.7°, I 18, (1 1 -3)
2θ = 36.1°, I 17, (4 0 -1)
2θ = 45.0°, I 17, (4 0 3)
2θ = 32.7°, I 17, (2 0 3)
2θ = 35.3°, I 15, (3 1 -2)

No. 4
Structure and computed powder diffractogram of Li3Fe5O12 (a GGA+U-relaxed structure; Cu Kα).
No peak broadening, texture or thermal motion is included.

Crystal structure
Cell: 5.0272 5.0723 18.5271 Å, 93.65 92.61 113.99°
Space group P1 (No. 1)
Symmetry-distinct sites (fractional):
Li (0.0000, 0.0000, 0.0000) x1
Li (0.0122, 0.9875, 0.4996) x1
Li (0.1506, 0.4249, 0.6358) x1
Li (0.3874, 0.7323, 0.0181) x1
Li (0.4003, 0.7432, 0.5175) x1
Li (0.4663, 0.1559, 0.1420) x1
Fe (0.2492, 0.8641, 0.2714) x1
Fe (0.2577, 0.8782, 0.7707) x1
Fe (0.3383, 0.3288, 0.3983) x1
Fe (0.3389, 0.3398, 0.8975) x1
Fe (0.7455, 0.3751, 0.5181) x1
Fe (0.7525, 0.3886, 0.0176) x1
Fe (0.8049, 0.8010, 0.6408) x1
Fe (0.8069, 0.8052, 0.1401) x1
Fe (0.8922, 0.2345, 0.7712) x1
Fe (0.8975, 0.2346, 0.2716) x1
O (0.0242, 0.0074, 0.3378) x1
O (0.0282, 0.0117, 0.8381) x1
O (0.0440, 0.7062, 0.5738) x1
O (0.0447, 0.7340, 0.0727) x1
O (0.0508, 0.3706, 0.9649) x1
O (0.0582, 0.3638, 0.4623) x1
O (0.1232, 0.1107, 0.7018) x1
O (0.1321, 0.0958, 0.2011) x1
O (0.2255, 0.5499, 0.8264) x1
O (0.2318, 0.5444, 0.3260) x1
O (0.4124, 0.0873, 0.4659) x1
O (0.4124, 0.1001, 0.9641) x1
O (0.5106, 0.4979, 0.5895) x1
O (0.5162, 0.4881, 0.0888) x1
O (0.5561, 0.1895, 0.3243) x1
O (0.5656, 0.2077, 0.8227) x1
O (0.5799, 0.9134, 0.2100) x1
O (0.5811, 0.8985, 0.7135) x1
O (0.6537, 0.6267, 0.9518) x1
O (0.6583, 0.6181, 0.4520) x1
O (0.7413, 0.0809, 0.0746) x1
O (0.7945, 0.0973, 0.5749) x1
O (0.9166, 0.5537, 0.2176) x1
O (0.9433, 0.5622, 0.7134) x1

Most intense lines, 2θ = 10–90°, most intense first:
2θ = 20.7°, I 100, (0 1 -2)
2θ = 21.0°, I 100, (1 0 -2)
2θ = 28.5°, I 58, (1 -1 4)
2θ = 40.0°, I 58, (1 1 4)
2θ = 28.8°, I 54, (-1 1 4)
2θ = 45.3°, I 51, (1 -2 6)
2θ = 46.0°, I 49, (-2 1 6)
2θ = 19.3°, I 22, (0 0 4)

No. 5
Structure and computed powder diffractogram of Li7Fe3O8 (a GGA+U-relaxed structure; Cu Kα).
No peak broadening, texture or thermal motion is included.

Crystal structure
Cell: 5.5505 7.7515 10.4627 Å, 68.87 86.04 70.86°
Space group P-1 (No. 2)
Symmetry-distinct sites (fractional):
Li (0.0324, 0.2702, 0.2776) x2
Li (0.0400, 0.7471, 0.2204) x2
Li (0.0808, 0.0786, 0.5610) x2
Li (0.1829, 0.5141, 0.0537) x2
Li (0.2152, 0.0498, 0.0666) x2
Li (0.2160, 0.5470, 0.5162) x2
Li (0.3564, 0.8682, 0.3344) x2
Fe (0.3082, 0.8719, 0.8542) x2
Fe (0.4401, 0.3119, 0.3782) x2
Fe (0.4476, 0.3331, 0.8381) x2
O (0.0138, 0.0145, 0.2370) x2
O (0.1324, 0.3255, 0.4602) x2
O (0.1493, 0.4881, 0.8758) x2
O (0.2338, 0.7671, 0.0467) x2
O (0.2644, 0.8501, 0.5181) x2
O (0.3999, 0.2868, 0.2031) x2
O (0.4097, 0.0911, 0.8454) x2
O (0.4235, 0.5877, 0.3410) x2

Most intense lines, 2θ = 10–90°, most intense first:
2θ = 16.9°, I 100, (1 0 0)
2θ = 26.1°, I 96, (1 2 0)
2θ = 40.0°, I 63, (1 0 -4)
2θ = 25.9°, I 57, (0 2 2)
2θ = 25.7°, I 54, (1 0 2)
2θ = 24.2°, I 32, (-1 1 1)
2θ = 27.1°, I 30, (-1 1 2)
2θ = 27.5°, I 30, (0 0 3)

No. 6
Structure and computed powder diffractogram of Li11Fe4O12 (a GGA+U-relaxed structure; Cu Kα).
No peak broadening, texture or thermal motion is included.

Crystal structure
Cell: 8.9974 3.4964 9.0657 Å, 90.00 90.73 90.00°
Space group Pm (No. 6)
Symmetry-distinct sites (fractional):
Li (0.0000, 0.0000, 0.0000) x1
Li (0.0126, 0.0000, 0.4384) x1
Li (0.1873, 0.5000, 0.9304) x1
Li (0.2188, 0.0000, 0.6433) x1
Li (0.4274, 0.0000, 0.9698) x1
Li (0.4597, 0.5000, 0.7268) x1
Li (0.5011, 0.5000, 0.1548) x1
Li (0.6577, 0.0000, 0.6599) x1
Li (0.6886, 0.0000, 0.2313) x1
Li (0.7306, 0.5000, 0.4773) x1
Li (0.9302, 0.5000, 0.1886) x1
Fe (0.2177, 0.0000, 0.2160) x1
Fe (0.4436, 0.0000, 0.4397) x1
Fe (0.7148, 0.5000, 0.9418) x1
Fe (0.9470, 0.5000, 0.7150) x1
O (0.0145, 0.0000, 0.2199) x1
O (0.1451, 0.5000, 0.7258) x1
O (0.2190, 0.0000, 0.0145) x1
O (0.2360, 0.0000, 0.4219) x1
O (0.4333, 0.0000, 0.2259) x1
O (0.4383, 0.0000, 0.6410) x1
O (0.5095, 0.5000, 0.9358) x1
O (0.6468, 0.0000, 0.4399) x1
O (0.7195, 0.5000, 0.1452) x1
O (0.7298, 0.5000, 0.7293) x1
O (0.9295, 0.5000, 0.9304) x1
O (0.9372, 0.5000, 0.5188) x1

Most intense lines, 2θ = 10–90°, most intense first:
2θ = 27.4°, I 100, (0 1 1)
2θ = 13.8°, I 30, (1 0 -1)
2θ = 29.1°, I 28, (1 1 -1)
2θ = 14.0°, I 26, (1 0 1)
2θ = 40.1°, I 19, (4 0 0)
2θ = 39.8°, I 18, (0 0 4)
2θ = 57.2°, I 15, (0 1 5)
2θ = 57.6°, I 13, (5 1 0)